# 1
Pu2Hg3Pb: calculated powder diffractogram (Cu Kα), based on a GGA-PBE-relaxed structure.
Peak positions follow from Bragg's law for the DFT cell and can differ from measured ones.

The 10 most intense peaks (2θ from 10° to 90°), most intense first:
h k l, 2θ/deg, I (rel.)
0 0 6, 29.3, 100
0 2 0, 30.1, 85
0 2 6, 42.5, 75
1 1 0, 32.6, 65
1 1 6, 44.4, 53
1 3 6, 63.5, 25
1 1 2, 34.1, 25
1 1 4, 38.2, 25
2 2 6, 75.9, 25
1 0 3, 32.4, 19

Crystal structure
Cell lengths 3.0995, 5.9471, 18.2970 Å; angles 90.00, 90.00, 90.00 degrees
Positions (direct):
Pu 0.0000 0.0000 0.1587
Pu 0.0000 0.0000 0.8413
Pu 0.5000 0.5000 0.3413
Pu 0.5000 0.5000 0.6587
Hg 0.0000 0.0000 0.3294
Hg 0.0000 0.0000 0.6706
Hg 0.0000 0.5000 0.5000
Hg 0.5000 0.0000 0.0000
Hg 0.5000 0.5000 0.1706
Hg 0.5000 0.5000 0.8294
Pb 0.0000 0.0000 0.5000
Pb 0.5000 0.5000 0.0000



# 2
Pu3Hg4Pb: calculated powder diffractogram (Cu Kα), based on a GGA-PBE-relaxed structure.
Peak positions follow from Bragg's law for the DFT cell and can differ from measured ones.

The 10 most intense peaks (2θ from 10° to 90°), most intense first:
h k l, 2θ/deg, I (rel.)
3 1 1, 33.0, 100
5 1 -1, 33.2, 98
2 0 -2, 37.6, 36
8 0 0, 37.9, 34
0 2 0, 39.7, 31
2 2 -2, 55.8, 23
8 2 0, 56.1, 23
1 1 3, 64.8, 15
7 1 -3, 65.1, 15
11 1 1, 65.2, 14

Crystal structure
Cell lengths 19.5572, 4.5382, 4.7907 Å; angles 90.00, 103.69, 90.00 degrees
Positions (direct):
Pu 0.0000 0.0000 0.0000
Pu 0.1282 0.5000 0.1273
Pu 0.3718 0.0000 0.8727
Pu 0.5000 0.5000 0.0000
Pu 0.6282 0.0000 0.1273
Pu 0.8718 0.5000 0.8727
Hg 0.1281 0.0000 0.6278
Hg 0.2486 0.5000 0.7479
Hg 0.2514 0.0000 0.2521
Hg 0.3719 0.5000 0.3722
Hg 0.6281 0.5000 0.6278
Hg 0.7486 0.0000 0.7479
Hg 0.7514 0.5000 0.2521
Hg 0.8719 0.0000 0.3722
Pb 0.0000 0.5000 0.5000
Pb 0.5000 0.0000 0.5000



# 3
PuSnHgPb: calculated powder diffractogram (Cu Kα), based on a GGA-PBE-relaxed structure.
Peak positions follow from Bragg's law for the DFT cell and can differ from measured ones.

The 10 most intense peaks (2θ from 10° to 90°), most intense first:
h k l, 2θ/deg, I (rel.)
1 1 1, 33.0, 100
0 0 2, 37.2, 18
0 2 0, 37.9, 17
1 1 3, 64.4, 15
2 0 0, 39.7, 15
1 3 1, 65.3, 15
3 1 1, 67.8, 13
0 2 2, 54.1, 13
2 2 2, 69.2, 12
2 0 2, 55.5, 12

Crystal structure
Cell lengths 4.5440, 4.7500, 4.8350 Å; angles 90.00, 90.00, 90.00 degrees
Positions (direct):
Pu 0.0000 0.0000 0.0000
Sn 0.5000 0.5000 0.0000
Hg 0.0000 0.5000 0.5000
Pb 0.5000 0.0000 0.5000